1.
Starting from a DFT-relaxed cell (GGA-PBE, Alexandria), the X-ray powder pattern of Mn3Pb3N5 was calculated for CuKα.

Principal peaks in the range 15 to 90 degrees two-theta, most intense first:
- 29.9°, d 2.990, intensity 100
- 33.0°, d 2.717, intensity 95
- 29.3°, d 3.044, intensity 75
- 34.5°, d 2.602, intensity 71
- 33.6°, d 2.667, intensity 54
- 36.7°, d 2.451, intensity 46
- 38.4°, d 2.345, intensity 40
- 16.0°, d 5.530, intensity 38
- 28.4°, d 3.143, intensity 36
- 32.0°, d 2.793, intensity 26

Cell and atoms:
Unit cell a=5.684 b=7.462 c=8.339 alpha=103.44 beta=99.76 gamma=96.51
Sites, in units of the cell vectors:
Mn  0.065  0.178  0.029
Mn  0.080  0.426  0.724
Mn  0.316  0.509  0.403
Mn  0.684  0.491  0.597
Mn  0.920  0.574  0.276
Mn  0.935  0.822  0.971
Pb  0.239  0.060  0.456
Pb  0.378  0.831  0.773
Pb  0.433  0.694  0.136
Pb  0.567  0.306  0.864
Pb  0.622  0.169  0.227
Pb  0.761  0.940  0.544
N  0.076  0.362  0.224
N  0.119  0.308  0.887
N  0.177  0.712  0.426
N  0.228  0.977  0.029
N  0.347  0.450  0.607
N  0.653  0.550  0.393
N  0.772  0.023  0.971
N  0.823  0.288  0.574
N  0.881  0.692  0.113
N  0.924  0.638  0.776

---

2.
Starting from a DFT-relaxed cell (GGA-PBE, Alexandria), the X-ray powder pattern of MnPbN2 was calculated for CuKα.

Principal peaks in the range 15 to 90 degrees two-theta, most intense first:
- 32.7°, d 2.741, intensity 100
- 20.4°, d 4.353, intensity 28
- 33.9°, d 2.642, intensity 28
- 35.2°, d 2.553, intensity 24
- 59.9°, d 1.544, intensity 19
- 30.7°, d 2.916, intensity 16
- 19.1°, d 4.643, intensity 15
- 59.5°, d 1.553, intensity 14
- 25.5°, d 3.488, intensity 14
- 27.8°, d 3.206, intensity 14

Cell and atoms:
Unit cell a=5.832 b=7.676 c=5.284 alpha=90.00 beta=90.00 gamma=90.00
Sites, in units of the cell vectors:
Mn  0.008  0.127  0.000
Mn  0.492  0.627  0.500
Mn  0.508  0.373  0.000
Mn  0.992  0.873  0.500
Pb  0.079  0.631  0.019
Pb  0.421  0.131  0.519
Pb  0.579  0.869  0.019
Pb  0.921  0.369  0.519
N  0.003  0.077  0.330
N  0.240  0.747  0.418
N  0.260  0.247  0.918
N  0.497  0.577  0.830
N  0.503  0.423  0.330
N  0.740  0.753  0.418
N  0.760  0.253  0.918
N  0.997  0.923  0.830

---

3.
Starting from a DFT-relaxed cell (GGA-PBE, Alexandria), the X-ray powder pattern of MnPdN was calculated for CuKα.

Principal peaks in the range 15 to 90 degrees two-theta, most intense first:
- 37.4°, d 2.407, intensity 100
- 43.2°, d 2.093, intensity 54
- 36.7°, d 2.448, intensity 34
- 63.2°, d 1.471, intensity 23
- 75.4°, d 1.261, intensity 22
- 62.3°, d 1.489, intensity 19
- 35.8°, d 2.510, intensity 16
- 18.1°, d 4.896, intensity 15
- 75.8°, d 1.255, intensity 12
- 47.2°, d 1.924, intensity 11

Cell and atoms:
Unit cell a=2.941 b=2.941 c=14.687 alpha=90.00 beta=90.00 gamma=120.00
Sites, in units of the cell vectors:
Mn  0.000  0.000  0.000
Mn  0.333  0.667  0.667
Mn  0.667  0.333  0.333
Pd  0.000  0.000  0.480
Pd  0.333  0.667  0.147
Pd  0.667  0.333  0.813
N  0.000  0.000  0.621
N  0.333  0.667  0.287
N  0.667  0.333  0.954

---

4.
Starting from a DFT-relaxed cell (GGA-PBE, Alexandria), the X-ray powder pattern of PmMnN2 was calculated for CuKα.

Principal peaks in the range 15 to 90 degrees two-theta, most intense first:
- 34.2°, d 2.624, intensity 100
- 32.9°, d 2.720, intensity 96
- 23.6°, d 3.777, intensity 51
- 48.2°, d 1.889, intensity 43
- 59.6°, d 1.551, intensity 34
- 40.9°, d 2.207, intensity 26
- 53.5°, d 1.714, intensity 19
- 61.9°, d 1.498, intensity 18
- 58.8°, d 1.570, intensity 15
- 81.4°, d 1.182, intensity 14

Cell and atoms:
Unit cell a=5.440 b=5.440 c=6.320 alpha=90.00 beta=90.00 gamma=120.00
Sites, in units of the cell vectors:
Pm  0.000  0.648  0.167
Pm  0.352  0.352  0.500
Pm  0.648  0.000  0.833
Mn  0.000  0.589  0.667
Mn  0.411  0.411  0.000
Mn  0.589  0.000  0.333
N  0.125  0.433  0.871
N  0.307  0.875  0.538
N  0.433  0.125  0.129
N  0.567  0.693  0.205
N  0.693  0.567  0.795
N  0.875  0.307  0.462

---

5.
Starting from a DFT-relaxed cell (GGA-PBE, Alexandria), the X-ray powder pattern of PmMnN was calculated for CuKα.

Principal peaks in the range 15 to 90 degrees two-theta, most intense first:
- 34.0°, d 2.640, intensity 100
- 35.3°, d 2.541, intensity 72
- 27.3°, d 3.262, intensity 39
- 62.5°, d 1.485, intensity 34
- 50.3°, d 1.815, intensity 25
- 50.8°, d 1.796, intensity 25
- 34.6°, d 2.594, intensity 19
- 62.9°, d 1.477, intensity 13
- 59.9°, d 1.545, intensity 12
- 58.7°, d 1.574, intensity 11

Cell and atoms:
Unit cell a=3.593 b=3.593 c=7.782 alpha=90.00 beta=90.00 gamma=90.00
Sites, in units of the cell vectors:
Pm  0.250  0.250  0.160
Pm  0.750  0.750  0.840
Mn  0.250  0.250  0.591
Mn  0.750  0.750  0.409
N  0.250  0.250  0.844
N  0.750  0.750  0.156

---

6.
Starting from a DFT-relaxed cell (GGA-PBE, Alexandria), the X-ray powder pattern of PmPrMnN4 was calculated for CuKα.

Principal peaks in the range 15 to 90 degrees two-theta, most intense first:
- 23.3°, d 3.817, intensity 100
- 31.5°, d 2.838, intensity 60
- 33.0°, d 2.714, intensity 57
- 39.8°, d 2.263, intensity 42
- 31.6°, d 2.828, intensity 39
- 47.6°, d 1.909, intensity 36
- 33.4°, d 2.684, intensity 36
- 43.0°, d 2.101, intensity 34
- 39.6°, d 2.278, intensity 34
- 63.3°, d 1.469, intensity 30

Cell and atoms:
Unit cell a=5.660 b=5.428 c=6.986 alpha=90.00 beta=108.45 gamma=90.00
Sites, in units of the cell vectors:
Pm  0.213  0.250  0.042
Pm  0.787  0.750  0.958
Pr  0.283  0.250  0.568
Pr  0.717  0.750  0.432
Mn  0.234  0.750  0.800
Mn  0.766  0.250  0.200
N  0.028  0.505  0.744
N  0.028  0.995  0.744
N  0.395  0.750  0.054
N  0.428  0.750  0.649
N  0.572  0.250  0.351
N  0.605  0.250  0.946
N  0.972  0.005  0.256
N  0.972  0.495  0.256

---

7.
Starting from a DFT-relaxed cell (GGA-PBE, Alexandria), the X-ray powder pattern of Pm2PuMn2N6 was calculated for CuKα.

Principal peaks in the range 15 to 90 degrees two-theta, most intense first:
- 32.0°, d 2.801, intensity 100
- 56.9°, d 1.618, intensity 29
- 19.0°, d 4.666, intensity 21
- 45.8°, d 1.981, intensity 21
- 76.0°, d 1.253, intensity 16
- 27.8°, d 3.215, intensity 14
- 57.0°, d 1.616, intensity 10
- 42.8°, d 2.111, intensity 8
- 66.8°, d 1.400, intensity 8
- 58.5°, d 1.577, intensity 6

Cell and atoms:
Unit cell a=6.575 b=6.575 c=6.575 alpha=50.39 beta=50.39 gamma=50.39
Sites, in units of the cell vectors:
Pm  0.210  0.210  0.210
Pm  0.790  0.790  0.790
Pu  0.000  0.000  0.000
Mn  0.401  0.401  0.401
Mn  0.599  0.599  0.599
N  0.233  0.743  0.743
N  0.257  0.257  0.767
N  0.257  0.767  0.257
N  0.743  0.233  0.743
N  0.743  0.743  0.233
N  0.767  0.257  0.257

---

8.
Starting from a DFT-relaxed cell (GGA-PBE, Alexandria), the X-ray powder pattern of Pm2Mn2Si2N was calculated for CuKα.

Principal peaks in the range 15 to 90 degrees two-theta, most intense first:
- 35.9°, d 2.499, intensity 100
- 33.7°, d 2.662, intensity 54
- 24.8°, d 3.595, intensity 45
- 33.6°, d 2.669, intensity 42
- 45.6°, d 1.989, intensity 27
- 39.4°, d 2.288, intensity 26
- 34.6°, d 2.589, intensity 24
- 34.5°, d 2.600, intensity 23
- 25.7°, d 3.472, intensity 23
- 40.5°, d 2.228, intensity 19

Cell and atoms:
Unit cell a=10.859 b=3.978 c=6.944 alpha=90.00 beta=129.39 gamma=90.00
Sites, in units of the cell vectors:
Pm  0.059  0.000  0.294
Pm  0.441  0.500  0.706
Pm  0.559  0.500  0.294
Pm  0.941  0.000  0.706
Mn  0.195  0.500  0.090
Mn  0.305  0.000  0.910
Mn  0.695  0.000  0.090
Mn  0.805  0.500  0.910
Si  0.168  0.500  0.728
Si  0.332  0.000  0.272
Si  0.668  0.000  0.728
Si  0.832  0.500  0.272
N  0.000  0.500  0.000
N  0.500  0.000  0.000

---

9.
Starting from a DFT-relaxed cell (GGA-PBE, Alexandria), the X-ray powder pattern of PmTh2MnN5 was calculated for CuKα.

Principal peaks in the range 15 to 90 degrees two-theta, most intense first:
- 30.9°, d 2.898, intensity 100
- 30.6°, d 2.918, intensity 87
- 38.2°, d 2.356, intensity 72
- 31.7°, d 2.823, intensity 43
- 15.7°, d 5.645, intensity 34
- 50.5°, d 1.809, intensity 28
- 56.8°, d 1.621, intensity 25
- 42.3°, d 2.136, intensity 23
- 24.4°, d 3.646, intensity 23
- 61.8°, d 1.502, intensity 22

Cell and atoms:
Unit cell a=7.395 b=7.395 c=7.395 alpha=125.65 beta=125.65 gamma=80.46
Sites, in units of the cell vectors:
Pm  0.250  0.250  0.000
Pm  0.750  0.750  0.000
Th  0.175  0.675  0.851
Th  0.325  0.175  0.500
Th  0.675  0.825  0.500
Th  0.825  0.325  0.149
Mn  0.250  0.750  0.500
Mn  0.750  0.250  0.500
N  0.000  0.000  0.000
N  0.002  0.787  0.500
N  0.213  0.713  0.215
N  0.287  0.502  0.500
N  0.498  0.998  0.785
N  0.500  0.500  0.000
N  0.502  0.002  0.215
N  0.713  0.498  0.500
N  0.787  0.287  0.785
N  0.998  0.213  0.500

---

10.
Starting from a DFT-relaxed cell (GGA-PBE, Alexandria), the X-ray powder pattern of Pm2ThMnN4 was calculated for CuKα.

Principal peaks in the range 15 to 90 degrees two-theta, most intense first:
- 30.6°, d 2.923, intensity 100
- 26.9°, d 3.311, intensity 58
- 37.7°, d 2.386, intensity 39
- 35.3°, d 2.540, intensity 33
- 29.6°, d 3.016, intensity 22
- 46.4°, d 1.957, intensity 20
- 51.7°, d 1.768, intensity 20
- 52.4°, d 1.747, intensity 19
- 49.3°, d 1.847, intensity 19
- 27.7°, d 3.224, intensity 13

Cell and atoms:
Unit cell a=6.090 b=6.090 c=12.064 alpha=90.00 beta=90.00 gamma=146.68
Sites, in units of the cell vectors:
Pm  0.131  0.869  0.549
Pm  0.131  0.869  0.951
Pm  0.869  0.131  0.049
Pm  0.869  0.131  0.451
Th  0.396  0.604  0.750
Th  0.604  0.396  0.250
Mn  0.337  0.663  0.250
Mn  0.663  0.337  0.750
N  0.056  0.944  0.750
N  0.222  0.778  0.134
N  0.222  0.778  0.366
N  0.500  0.500  0.000
N  0.500  0.500  0.500
N  0.778  0.222  0.634
N  0.778  0.222  0.866
N  0.944  0.056  0.250

---

11.
Starting from a DFT-relaxed cell (GGA-PBE, Alexandria), the X-ray powder pattern of PmTh2MnN4 was calculated for CuKα.

Principal peaks in the range 15 to 90 degrees two-theta, most intense first:
- 26.8°, d 3.327, intensity 100
- 29.9°, d 2.987, intensity 88
- 37.0°, d 2.430, intensity 62
- 30.2°, d 2.956, intensity 51
- 34.6°, d 2.593, intensity 35
- 45.9°, d 1.976, intensity 34
- 51.1°, d 1.786, intensity 28
- 33.8°, d 2.655, intensity 27
- 51.5°, d 1.773, intensity 25
- 58.4°, d 1.580, intensity 25

Cell and atoms:
Unit cell a=6.179 b=6.179 c=12.076 alpha=90.00 beta=90.00 gamma=146.21
Sites, in units of the cell vectors:
Pm  0.099  0.901  0.750
Pm  0.901  0.099  0.250
Th  0.369  0.631  0.556
Th  0.369  0.631  0.944
Th  0.631  0.369  0.056
Th  0.631  0.369  0.444
Mn  0.168  0.832  0.250
Mn  0.832  0.168  0.750
N  0.000  0.000  0.000
N  0.000  0.000  0.500
N  0.270  0.730  0.122
N  0.270  0.730  0.378
N  0.446  0.554  0.750
N  0.554  0.446  0.250
N  0.730  0.270  0.622
N  0.730  0.270  0.878

---

12.
Starting from a DFT-relaxed cell (GGA-PBE, Alexandria), the X-ray powder pattern of PrMnN2 was calculated for CuKα.

Principal peaks in the range 15 to 90 degrees two-theta, most intense first:
- 33.8°, d 2.651, intensity 100
- 32.6°, d 2.750, intensity 96
- 23.3°, d 3.817, intensity 48
- 47.7°, d 1.908, intensity 43
- 58.9°, d 1.568, intensity 34
- 40.4°, d 2.231, intensity 26
- 52.8°, d 1.733, intensity 19
- 61.3°, d 1.513, intensity 18
- 58.1°, d 1.588, intensity 14
- 80.4°, d 1.194, intensity 14

Cell and atoms:
Unit cell a=5.499 b=5.499 c=6.382 alpha=90.00 beta=90.00 gamma=120.00
Sites, in units of the cell vectors:
Pr  0.000  0.649  0.167
Pr  0.351  0.351  0.500
Pr  0.649  0.000  0.833
Mn  0.000  0.585  0.667
Mn  0.415  0.415  0.000
Mn  0.585  0.000  0.333
N  0.133  0.437  0.869
N  0.303  0.867  0.535
N  0.437  0.133  0.131
N  0.563  0.697  0.202
N  0.697  0.563  0.798
N  0.867  0.303  0.465